(1)
Computed powder diffraction line list of Nb2Tl5S4Cl9 for Cu Kα (λ = 1.5418 Å), from DFT lattice parameters and positions (PBE).

Structural model:
```
data_Nb2Tl5S4Cl9
_chemical_formula_sum 'Nb4 Tl10 S8 Cl18'
_cell_length_a 7.213
_cell_length_b 9.797
_cell_length_c 15.933
_cell_angle_alpha 90.00
_cell_angle_beta 90.00
_cell_angle_gamma 90.00
_symmetry_space_group_name_H-M 'I m m m'
_symmetry_Int_Tables_number 71
_symmetry_space_group_name_Hall '-I 2 2'
loop_
_atom_site_label
_atom_site_type_symbol
_atom_site_fract_x
_atom_site_fract_y
_atom_site_fract_z
_atom_site_occupancy
Nb1 Nb 0.000 0.000 0.092 1
Tl1 Tl 0.000 0.219 0.333 1
Tl2 Tl 0.000 0.500 0.000 1
S1 S 0.248 0.103 0.000 1
Cl1 Cl 0.000 0.000 0.500 1
Cl2 Cl 0.000 0.259 0.135 1
Cl3 Cl 0.240 0.000 0.209 1
```

Top 10 peaks for 5 to 70 degrees two-theta, by angle:
2θ/deg	d (Å)	I_rel
20.77	4.277	100
21.29	4.173	57
22.64	3.927	92
24.69	3.607	63
27.69	3.222	38
28.89	3.090	38
32.17	2.782	43
32.82	2.729	64
38.81	2.320	35
42.26	2.139	34

---

(2)
Computed powder diffraction line list of ThSe2O6 for Cu Kα (λ = 1.5418 Å), from DFT lattice parameters and positions (PBE).

Structural model:
```
data_ThSe2O6
_chemical_formula_sum 'Th4 Se8 O24'
_cell_length_a 7.277
_cell_length_b 10.942
_cell_length_c 8.754
_cell_angle_alpha 90.00
_cell_angle_beta 124.87
_cell_angle_gamma 90.00
_symmetry_space_group_name_H-M 'P 1 21/c 1'
_symmetry_Int_Tables_number 14
_symmetry_space_group_name_Hall '-P 2ybc'
loop_
_atom_site_label
_atom_site_type_symbol
_atom_site_fract_x
_atom_site_fract_y
_atom_site_fract_z
_atom_site_occupancy
Th1 Th 0.245 0.098 0.483 1
Se1 Se 0.197 0.715 0.936 1
Se2 Se 0.289 0.065 0.062 1
O1 O 0.014 0.601 0.918 1
O2 O 0.063 0.739 0.210 1
O3 O 0.167 0.091 0.183 1
O4 O 0.384 0.605 0.955 1
O5 O 0.406 0.208 0.089 1
O6 O 0.475 0.023 0.788 1
```

Top 10 peaks for 5 to 70 degrees two-theta, by angle:
2θ/deg	d (Å)	I_rel
14.75	6.004	75
16.92	5.241	22
24.79	3.591	59
25.68	3.469	74
28.68	3.113	100
29.93	2.985	35
31.95	2.801	44
43.80	2.067	20
44.89	2.019	43
51.54	1.773	21

---

(3)
Computed powder diffraction line list of Sr3Cr3N5 for Cu Kα (λ = 1.5418 Å), from DFT lattice parameters and positions (PBE).

Structural model:
```
data_Sr3Cr3N5
_chemical_formula_sum 'Sr6 Cr6 N10'
_cell_length_a 5.688
_cell_length_b 7.195
_cell_length_c 8.638
_cell_angle_alpha 107.88
_cell_angle_beta 103.16
_cell_angle_gamma 95.34
_symmetry_space_group_name_H-M 'P -1'
_symmetry_Int_Tables_number 2
_symmetry_space_group_name_Hall '-P 1'
loop_
_atom_site_label
_atom_site_type_symbol
_atom_site_fract_x
_atom_site_fract_y
_atom_site_fract_z
_atom_site_occupancy
Sr1 Sr 0.152 0.180 0.209 1
Sr2 Sr 0.162 0.368 0.882 1
Sr3 Sr 0.313 0.921 0.611 1
Cr1 Cr 0.191 0.461 0.572 1
Cr2 Cr 0.403 0.613 0.300 1
Cr3 Cr 0.414 0.823 0.973 1
N1 N 0.127 0.562 0.384 1
N2 N 0.268 0.030 0.922 1
N3 N 0.322 0.228 0.520 1
N4 N 0.338 0.715 0.129 1
N5 N 0.427 0.614 0.782 1
```

Top 10 peaks for 5 to 70 degrees two-theta, by angle:
2θ/deg	d (Å)	I_rel
29.58	3.020	35
32.17	2.783	100
33.21	2.698	20
33.50	2.675	59
33.65	2.663	31
37.71	2.386	21
39.19	2.298	14
39.64	2.274	11
41.95	2.153	17
58.95	1.567	15

---

(4)
Computed powder diffraction line list of CdAu for Cu Kα (λ = 1.5418 Å), from DFT lattice parameters and positions (PBE).

Structural model:
```
data_CdAu
_chemical_formula_sum 'Cd1 Au1'
_cell_length_a 3.1209
_cell_length_b 3.1209
_cell_length_c 4.6680
_cell_angle_alpha 90.00
_cell_angle_beta 90.00
_cell_angle_gamma 120.00
_symmetry_space_group_name_H-M 'P -6 m 2'
_symmetry_Int_Tables_number 187
_symmetry_space_group_name_Hall 'P -6 2'
loop_
_atom_site_label
_atom_site_type_symbol
_atom_site_fract_x
_atom_site_fract_y
_atom_site_fract_z
_atom_site_occupancy
Cd1 Cd 0.0000 0.0000 0.0000 1
Au1 Au 0.3333 0.6667 0.5000 1
```

Top 8 peaks for 5 to 70 degrees two-theta, by angle:
2θ/deg	d (Å)	I_rel
19.01	4.668	7
33.15	2.703	24
38.50	2.338	100
51.75	1.767	14
59.21	1.560	15
62.79	1.480	2
69.56	1.351	3
69.74	1.349	14

---

(5)
Computed powder diffraction line list of Ba3ScCO3F7 for Cu Kα (λ = 1.5418 Å), from DFT lattice parameters and positions (PBE).

Structural model:
```
data_Ba3ScCO3F7
_chemical_formula_sum 'Ba12 Sc4 C4 O12 F28'
_cell_length_a 11.672
_cell_length_b 13.597
_cell_length_c 6.095
_cell_angle_alpha 90.00
_cell_angle_beta 90.00
_cell_angle_gamma 90.00
_symmetry_space_group_name_H-M 'C m c m'
_symmetry_Int_Tables_number 63
_symmetry_space_group_name_Hall '-C 2c 2'
loop_
_atom_site_label
_atom_site_type_symbol
_atom_site_fract_x
_atom_site_fract_y
_atom_site_fract_z
_atom_site_occupancy
Ba1 Ba 0.000 0.095 0.250 1
Ba2 Ba 0.224 0.379 0.250 1
Sc1 Sc 0.000 0.270 0.750 1
C1 C 0.000 0.464 0.750 1
O1 O 0.000 0.442 0.250 1
O2 O 0.095 0.413 0.750 1
F1 F 0.000 0.115 0.750 1
F2 F 0.121 0.239 0.506 1
F3 F 0.161 0.000 0.000 1
```

Top 10 peaks for 5 to 70 degrees two-theta, by angle:
2θ/deg	d (Å)	I_rel
24.85	3.582	100
25.66	3.472	20
29.31	3.047	20
38.09	2.363	13
39.73	2.269	27
40.75	2.214	13
42.91	2.108	22
45.42	1.997	13
46.21	1.965	16
49.35	1.846	15

---

(6)
Computed powder diffraction line list of PrScSi for Cu Kα (λ = 1.5418 Å), from DFT lattice parameters and positions (PBE).

Structural model:
```
data_PrScSi
_chemical_formula_sum 'Pr4 Sc4 Si4'
_cell_length_a 4.311
_cell_length_b 4.311
_cell_length_c 16.024
_cell_angle_alpha 90.00
_cell_angle_beta 90.00
_cell_angle_gamma 90.00
_symmetry_space_group_name_H-M 'I 4/m m m'
_symmetry_Int_Tables_number 139
_symmetry_space_group_name_Hall '-I 4 2'
loop_
_atom_site_label
_atom_site_type_symbol
_atom_site_fract_x
_atom_site_fract_y
_atom_site_fract_z
_atom_site_occupancy
Pr1 Pr 0.000 0.000 0.176 1
Sc1 Sc 0.000 0.500 0.000 1
Si1 Si 0.000 0.000 0.380 1
```

Top 10 peaks for 5 to 70 degrees two-theta, by angle:
2θ/deg	d (Å)	I_rel
26.57	3.355	100
29.30	3.048	42
31.40	2.849	74
33.56	2.671	28
34.88	2.572	55
37.06	2.426	36
41.91	2.155	46
50.32	1.813	35
54.72	1.677	27
55.63	1.652	28

---

(7)
Computed powder diffraction line list of Li2CuF5 for Cu Kα (λ = 1.5418 Å), from DFT lattice parameters and positions (PBE).

Structural model:
```
data_Li2CuF5
_chemical_formula_sum 'Li8 Cu4 F20'
_cell_length_a 6.322
_cell_length_b 9.470
_cell_length_c 7.493
_cell_angle_alpha 90.00
_cell_angle_beta 106.55
_cell_angle_gamma 90.00
_symmetry_space_group_name_H-M 'P 1 21/c 1'
_symmetry_Int_Tables_number 14
_symmetry_space_group_name_Hall '-P 2ybc'
loop_
_atom_site_label
_atom_site_type_symbol
_atom_site_fract_x
_atom_site_fract_y
_atom_site_fract_z
_atom_site_occupancy
Li1 Li 0.105 0.240 0.039 1
Li2 Li 0.377 0.678 0.974 1
Cu1 Cu 0.343 0.009 0.778 1
F1 F 0.135 0.652 0.058 1
F2 F 0.141 0.115 0.846 1
F3 F 0.343 0.618 0.458 1
F4 F 0.368 0.150 0.620 1
F5 F 0.441 0.083 0.288 1
```

Top 10 peaks for 5 to 70 degrees two-theta, by angle:
2θ/deg	d (Å)	I_rel
14.62	6.060	35
18.75	4.732	100
23.68	3.757	34
23.85	3.731	17
31.26	2.861	26
37.69	2.387	11
40.24	2.241	9
45.82	1.980	9
46.56	1.951	16
48.98	1.860	9

---

(8)
Computed powder diffraction line list of YAlFe for Cu Kα (λ = 1.5418 Å), from DFT lattice parameters and positions (PBE).

Structural model:
```
data_YAlFe
_chemical_formula_sum 'Y8 Al8 Fe8'
_cell_length_a 8.590
_cell_length_b 5.395
_cell_length_c 9.371
_cell_angle_alpha 90.00
_cell_angle_beta 90.00
_cell_angle_gamma 90.00
_symmetry_space_group_name_H-M 'A m m 2'
_symmetry_Int_Tables_number 38
_symmetry_space_group_name_Hall 'A 2 -2'
loop_
_atom_site_label
_atom_site_type_symbol
_atom_site_fract_x
_atom_site_fract_y
_atom_site_fract_z
_atom_site_occupancy
Y1 Y 0.185 0.000 0.000 1
Y2 Y 0.302 0.000 0.669 1
Al1 Al 0.000 0.000 0.496 1
Al2 Al 0.500 0.000 0.168 1
Al3 Al 0.500 0.244 0.414 1
Fe1 Fe 0.000 0.244 0.254 1
Fe2 Fe 0.237 0.000 0.325 1
```

Top 10 peaks for 5 to 70 degrees two-theta, by angle:
2θ/deg	d (Å)	I_rel
10.30	8.590	15
20.68	4.295	11
33.16	2.702	63
36.80	2.442	66
39.41	2.286	100
39.94	2.257	43
61.62	1.505	21
63.50	1.465	14
67.66	1.385	22
69.55	1.352	13